This entry pairs a crystal structure of Li4MnCo2NiO8 with its calculated powder diffractogram. Radiation: Cu Kα. Structure: a crystal structure in Alexandria, relaxed with PBE+U.

Structural model:
```
data_Li4MnCo2NiO8
_chemical_formula_sum 'Li4 Mn1 Co2 Ni1 O8'
_cell_length_a 5.163
_cell_length_b 2.947
_cell_length_c 9.750
_cell_angle_alpha 90.00
_cell_angle_beta 101.16
_cell_angle_gamma 90.00
_symmetry_space_group_name_H-M 'P 1 2/m 1'
_symmetry_Int_Tables_number 10
_symmetry_space_group_name_Hall '-P 2y'
loop_
_atom_site_label
_atom_site_type_symbol
_atom_site_fract_x
_atom_site_fract_y
_atom_site_fract_z
_atom_site_occupancy
Li1 Li 0.000 0.000 0.000 1
Li2 Li 0.245 0.500 0.238 1
Li3 Li 0.500 0.000 0.500 1
Mn1 Mn 0.000 0.500 0.500 1
Co1 Co 0.266 0.000 0.760 1
Ni1 Ni 0.500 0.500 0.000 1
O1 O 0.100 0.000 0.387 1
O2 O 0.129 0.500 0.867 1
O3 O 0.343 0.500 0.620 1
O4 O 0.393 0.000 0.133 1
```

Peak list (10 most intense, 2θ from 15° to 90°, low angle first)
d 4.884, I = 100; d 2.509, I = 29; d 2.490, I = 13; d 2.404, I = 9; d 2.092, I = 51; d 2.078, I = 24; d 1.921, I = 9; d 1.618, I = 9; d 1.486, I = 20; d 1.463, I = 13